[1]
# Y2ZnIn
Theoretical powder diffraction line list, λ = 1.5418 Å (Cu Kα). Input: a cell relaxed with PBE.
Lines closer than 0.1° are merged.

The 10 most intense peaks (2θ = 10–90°), sorted by position:
2θ/deg	d/Å	Rel. int.
20.86	4.258	35
34.39	2.607	1000
40.57	2.224	19
49.43	1.844	174
54.21	1.692	8
61.61	1.505	350
65.80	1.419	6
72.50	1.304	106
76.40	1.247	6
82.77	1.166	148

```
data_Y2ZnIn
_space_group_name_H-M_alt 'F m -3 m'
_space_group_IT_number 225
_space_group_name_Hall '-F 4 2 3'
_cell_length_a 7.375
_cell_length_b 7.375
_cell_length_c 7.375
_cell_angle_alpha 90.00
_cell_angle_beta 90.00
_cell_angle_gamma 90.00
loop_
_atom_site_label
_atom_site_type_symbol
_atom_site_fract_x
_atom_site_fract_y
_atom_site_fract_z
_atom_site_occupancy
Y1 Y 0.250 0.250 0.250 1
Zn1 Zn 0.000 0.000 0.000 1
In1 In 0.000 0.000 0.500 1
```

---

[2]
# CaFe2S5
Theoretical powder diffraction line list, λ = 1.5418 Å (Cu Kα). Input: a cell relaxed with PBE.
Lines closer than 0.1° are merged.

The 10 most intense peaks (2θ = 10–90°), sorted by position:
2θ/deg	d/Å	Rel. int.
15.17	5.842	1000
20.04	4.430	540
22.28	3.991	497
24.87	3.580	526
26.24	3.397	929
29.09	3.070	431
30.61	2.921	660
39.80	2.265	400
43.35	2.087	614
51.80	1.765	365

```
data_CaFe2S5
_space_group_name_H-M_alt 'P m m n'
_space_group_IT_number 59
_cell_length_a 4.175
_cell_length_b 13.591
_cell_length_c 5.842
_cell_angle_alpha 90.00
_cell_angle_beta 90.00
_cell_angle_gamma 90.00
loop_
_space_group_symop_operation_xyz
'x,y,z'
'-x,-y,-z'
'-x+1/2,-y+1/2,z'
'x+1/2,y+1/2,-z'
'x+1/2,-y,-z'
'-x+1/2,y,z'
'-x,y+1/2,-z'
'x,-y+1/2,z'
loop_
_atom_site_label
_atom_site_type_symbol
_atom_site_fract_x
_atom_site_fract_y
_atom_site_fract_z
_atom_site_occupancy
Ca1 Ca 0.250 0.250 0.108 1
Fe1 Fe 0.250 0.600 0.412 1
S1 S 0.250 0.066 0.462 1
S2 S 0.250 0.623 0.057 1
S3 S 0.250 0.750 0.539 1
```

---

[3]
# Ba5P3O13
Theoretical powder diffraction line list, λ = 1.5418 Å (Cu Kα). Input: a cell relaxed with PBE.
Lines closer than 0.1° are merged.

The 10 most intense peaks (2θ = 10–90°), sorted by position:
2θ/deg	d/Å	Rel. int.
19.83	4.478	141
24.88	3.578	188
26.33	3.385	204
28.70	3.110	1000
29.93	2.985	275
41.91	2.155	181
43.17	2.096	141
43.88	2.063	183
46.49	1.953	199
46.77	1.942	154

```
data_Ba5P3O13
_space_group_name_H-M_alt 'P 63'
_space_group_IT_number 173
_cell_length_a 10.3411
_cell_length_b 10.3411
_cell_length_c 7.8073
_cell_angle_alpha 90.00
_cell_angle_beta 90.00
_cell_angle_gamma 120.00
loop_
_space_group_symop_operation_xyz
'x,y,z'
'x-y,x,z+1/2'
'-y,x-y,z'
'-x,-y,z+1/2'
'-x+y,-x,z'
'y,-x+y,z+1/2'
loop_
_atom_site_label
_atom_site_type_symbol
_atom_site_fract_x
_atom_site_fract_y
_atom_site_fract_z
_atom_site_occupancy
Ba1 Ba 0.0177 0.7602 0.0000 1
Ba2 Ba 0.3333 0.6667 0.2471 1
Ba3 Ba 0.3333 0.6667 0.7459 1
P1 P 0.0323 0.6302 0.4946 1
O1 O 0.0000 0.0000 0.3994 1
O2 O 0.0751 0.7347 0.6544 1
O3 O 0.0839 0.7310 0.3312 1
O4 O 0.1183 0.5421 0.5020 1
O5 O 0.1393 0.4802 0.9908 1
```

---

[4]
# Sc2CuTc
Theoretical powder diffraction line list, λ = 1.5418 Å (Cu Kα). Input: a cell relaxed with PBE.
Lines closer than 0.1° are merged.

The 10 most intense peaks (2θ = 10–90°), sorted by position:
2θ/deg	d/Å	Rel. int.
23.79	3.741	39
27.53	3.240	124
39.33	2.291	1000
46.49	1.953	19
48.68	1.870	37
56.84	1.620	160
62.48	1.486	8
64.30	1.449	48
71.31	1.323	309
84.61	1.145	95

```
data_Sc2CuTc
_space_group_name_H-M_alt 'F m -3 m'
_space_group_IT_number 225
_space_group_name_Hall '-F 4 2 3'
_cell_length_a 6.479
_cell_length_b 6.479
_cell_length_c 6.479
_cell_angle_alpha 90.00
_cell_angle_beta 90.00
_cell_angle_gamma 90.00
loop_
_atom_site_label
_atom_site_type_symbol
_atom_site_fract_x
_atom_site_fract_y
_atom_site_fract_z
_atom_site_occupancy
Sc1 Sc 0.250 0.250 0.250 1
Cu1 Cu 0.000 0.000 0.000 1
Tc1 Tc 0.000 0.000 0.500 1
```